# 1
Theoretical powder X-ray diffraction pattern of TlSn4Pb7 for Cu Kα (weighted mean of Kα1 and Kα2), from a DFT-relaxed cell (GGA-PBE, Alexandria).

Most intense lines, 5° ≤ 2θ ≤ 70°, by intensity:
- 2θ 31.99, I = 100
- 2θ 32.53, I = 92
- 2θ 57.35, I = 38
- 2θ 46.26, I = 35
- 2θ 64.96, I = 21
- 2θ 57.01, I = 20

Structural model:
a = 5.596 Å, b = 5.596 Å, c = 13.380 Å
α = 90.00°, β = 90.00°, γ = 120.00°
Atoms (fractional coordinates):
Tl 0.000 0.000 0.000
Sn 0.333 0.667 0.145
Sn 0.333 0.667 0.383
Sn 0.667 0.333 0.617
Sn 0.667 0.333 0.855
Pb 0.000 0.000 0.250
Pb 0.000 0.000 0.500
Pb 0.000 0.000 0.750
Pb 0.333 0.667 0.631
Pb 0.333 0.667 0.890
Pb 0.667 0.333 0.110
Pb 0.667 0.333 0.369

***

# 2
Theoretical powder X-ray diffraction pattern of Sb4TeSe5 for Cu Kα (weighted mean of Kα1 and Kα2), from a DFT-relaxed cell (GGA-PBE, Alexandria).

Most intense lines, 5° ≤ 2θ ≤ 70°, by intensity:
- 2θ 20.10, I = 100
- 2θ 35.50, I = 96
- 2θ 24.00, I = 78
- 2θ 30.17, I = 62
- 2θ 27.50, I = 54
- 2θ 25.43, I = 54

Structural model:
a = 8.410 Å, b = 10.683 Å, c = 7.859 Å
α = 90.00°, β = 90.00°, γ = 90.00°
Atoms (fractional coordinates):
Sb 0.039 0.250 0.033
Sb 0.250 0.035 0.430
Sb 0.250 0.465 0.430
Sb 0.461 0.250 0.033
Sb 0.539 0.750 0.967
Sb 0.750 0.535 0.570
Sb 0.750 0.965 0.570
Sb 0.961 0.750 0.967
Te 0.250 0.750 0.158
Te 0.750 0.250 0.842
Se 0.006 0.559 0.765
Se 0.006 0.941 0.765
Se 0.250 0.250 0.598
Se 0.494 0.559 0.765
Se 0.494 0.941 0.765
Se 0.506 0.059 0.235
Se 0.506 0.441 0.235
Se 0.750 0.750 0.402
Se 0.994 0.059 0.235
Se 0.994 0.441 0.235

***

# 3
Theoretical powder X-ray diffraction pattern of KPtBr2 for Cu Kα (weighted mean of Kα1 and Kα2), from a DFT-relaxed cell (GGA-PBE, Alexandria).

Most intense lines, 5° ≤ 2θ ≤ 70°, by intensity:
- 2θ 19.12, I = 100
- 2θ 26.28, I = 61
- 2θ 34.16, I = 40
- 2θ 36.17, I = 34
- 2θ 16.89, I = 31
- 2θ 38.80, I = 30

Structural model:
a = 4.642 Å, b = 4.967 Å, c = 5.250 Å
α = 90.00°, β = 90.49°, γ = 90.00°
Atoms (fractional coordinates):
K 0.000 0.000 0.000
Pt 0.441 0.500 0.496
Br 0.474 0.500 0.996
Br 0.545 0.000 0.497